Zn2Ni: computed XRD peak list (CuKα), based on a crystal structure in Alexandria, relaxed with GGA-PBE.

Structural model:
Cell lengths 4.189, 4.189, 2.614 Å; angles 90.00, 90.00, 90.00 degrees
Element x y z (fractional)
Zn: 0.000 0.500 0.000
Zn: 0.500 0.000 0.000
Ni: 0.000 0.000 0.500

Largest 10 diffraction maxima, most intense first, 15 to 90 degrees two-theta:
2θ/deg  intensity  index
46.3  100.0  1 1 1
43.2  61.8  2 0 0
21.2  40.6  1 0 0
81.4  34.2  3 1 1
30.2  23.3  1 1 0
62.7  19.0  2 2 0
40.7  14.4  1 0 1
88.1  14.1  2 0 2
48.6  8.4  2 1 0
34.3  8.3  0 0 1